Record 1
Calculated XRD peak list
Compound: Li7Mn4CoO12
Radiation: Cu Kα (λ = 1.5418 Å)
Structure: DFT lattice parameters and positions (PBE+U)

The 10 most intense peaks (10 to 90 degrees two-theta), low angle first:
| 2θ/deg | I/Imax | h k l |
| --- | --- | --- |
| 12.2 | 17 | 0 0 2 |
| 18.3 | 100 | 0 2 2 |
| 34.7 | 18 | 0 1 -5 |
| 36.3 | 23 | 1 -1 2 |
| 41.9 | 32 | 0 1 7 |
| 44.1 | 57 | 1 -3 0 |
| 47.4 | 10 | -1 2 5 |
| 62.3 | 15 | 1 -2 7 |
| 62.5 | 8 | -1 4 7 |
| 64.9 | 11 | 2 1 1 |

```
data_Li7Mn4CoO12
_chemical_formula_sum 'Li14 Mn8 Co2 O24'
_cell_length_a 2.873
_cell_length_b 10.580
_cell_length_c 15.224
_cell_angle_alpha 72.38
_cell_angle_beta 84.63
_cell_angle_gamma 82.32
_symmetry_space_group_name_H-M 'P -1'
_symmetry_Int_Tables_number 2
loop_
_symmetry_equiv_pos_as_xyz
'x,y,z'
'-x,-y,-z'
loop_
_atom_site_label
_atom_site_fract_x
_atom_site_fract_y
_atom_site_fract_z
Li1 0.123 0.214 0.039
Li2 0.129 0.537 0.706
Li3 0.130 0.876 0.369
Li4 0.249 0.250 0.750
Li5 0.369 0.964 0.794
Li6 0.373 0.623 0.132
Li7 0.374 0.285 0.462
Mn1 0.003 0.163 0.334
Mn2 0.249 0.914 0.088
Mn3 0.252 0.585 0.412
Mn4 0.498 0.336 0.167
Co1 0.000 0.500 0.000
Co2 0.500 0.000 0.500
O1 0.057 0.205 0.179
O2 0.060 0.532 0.848
O3 0.070 0.874 0.512
O4 0.194 0.213 0.901
O5 0.195 0.902 0.210
O6 0.197 0.551 0.556
O7 0.302 0.950 0.944
O8 0.304 0.288 0.599
O9 0.307 0.597 0.290
O10 0.438 0.970 0.651
O11 0.441 0.294 0.322
O12 0.444 0.627 0.987
```

=====

Record 2
Calculated XRD peak list
Compound: Li7Mn4CoO12
Radiation: Cu Kα (λ = 1.5418 Å)
Structure: DFT lattice parameters and positions (PBE+U)

The 10 most intense peaks (10 to 90 degrees two-theta), low angle first:
| 2θ/deg | I/Imax | h k l |
| --- | --- | --- |
| 11.4 | 9 | 2 0 -1 |
| 18.4 | 100 | 0 0 2 |
| 34.7 | 17 | 6 0 -2 |
| 36.3 | 24 | 3 1 -2 |
| 42.0 | 33 | 6 0 0 |
| 44.1 | 57 | 3 1 -4 |
| 47.4 | 9 | 3 1 2 |
| 58.1 | 10 | 3 1 -6 |
| 62.3 | 16 | 9 1 -4 |
| 62.7 | 16 | 3 1 4 |

```
data_Li7Mn4CoO12
_chemical_formula_sum 'Li14 Mn8 Co2 O24'
_cell_length_a 15.677
_cell_length_b 2.878
_cell_length_c 11.731
_cell_angle_alpha 90.00
_cell_angle_beta 124.52
_cell_angle_gamma 90.00
_symmetry_space_group_name_H-M 'C 1 m 1'
_symmetry_Int_Tables_number 8
loop_
_symmetry_equiv_pos_as_xyz
'x,y,z'
'x,-y,z'
'x+1/2,y+1/2,z'
'x+1/2,-y+1/2,z'
loop_
_atom_site_label
_atom_site_fract_x
_atom_site_fract_y
_atom_site_fract_z
Li1 0.000 0.000 0.000
Li2 0.000 0.000 0.244
Li3 0.162 0.500 0.246
Li4 0.167 0.500 0.749
Li5 0.332 0.000 0.250
Li6 0.340 0.000 0.756
Li7 0.499 0.500 0.753
Mn1 0.161 0.500 0.996
Mn2 0.168 0.500 0.500
Mn3 0.339 0.000 0.003
Mn4 0.498 0.500 0.499
Co1 0.334 0.000 0.500
O1 0.003 0.500 0.616
O2 0.019 0.500 0.886
O3 0.164 0.000 0.382
O4 0.169 0.000 0.113
O5 0.173 0.000 0.618
O6 0.176 0.000 0.893
O7 0.323 0.500 0.106
O8 0.328 0.500 0.385
O9 0.331 0.500 0.886
O10 0.338 0.500 0.615
O11 0.480 0.000 0.113
O12 0.494 0.000 0.382
```

=====

Record 3
Calculated XRD peak list
Compound: Li5Mn2CoO8
Radiation: Cu Kα (λ = 1.5418 Å)
Structure: DFT lattice parameters and positions (PBE+U)

The 10 most intense peaks (10 to 90 degrees two-theta), low angle first:
| 2θ/deg | I/Imax | h k l |
| --- | --- | --- |
| 15.1 | 13 | 0 1 -1 |
| 18.5 | 100 | 0 1 1 |
| 18.8 | 11 | 1 0 0 |
| 35.9 | 15 | 1 -2 2 |
| 36.2 | 12 | 1 2 -2 |
| 36.7 | 12 | -2 1 1 |
| 43.5 | 32 | 1 -1 3 |
| 44.0 | 30 | 1 3 -1 |
| 44.3 | 30 | -2 2 2 |
| 63.6 | 16 | 2 2 2 |

```
data_Li5Mn2CoO8
_chemical_formula_sum 'Li10 Mn4 Co2 O16'
_cell_length_a 4.978
_cell_length_b 7.735
_cell_length_c 7.783
_cell_angle_alpha 98.24
_cell_angle_beta 101.90
_cell_angle_gamma 102.54
_symmetry_space_group_name_H-M 'P 1'
_symmetry_Int_Tables_number 1
loop_
_symmetry_equiv_pos_as_xyz
'x,y,z'
loop_
_atom_site_label
_atom_site_fract_x
_atom_site_fract_y
_atom_site_fract_z
Li1 0.000 0.000 0.000
Li2 0.001 0.136 0.367
Li3 0.491 0.748 0.746
Li4 0.498 0.252 0.251
Li5 0.500 0.501 0.002
Li6 0.504 0.002 0.499
Li7 0.993 0.632 0.870
Li8 0.994 0.497 0.498
Li9 0.997 0.867 0.630
Li10 0.999 0.370 0.131
Mn1 0.001 0.252 0.751
Mn2 0.493 0.619 0.378
Mn3 0.503 0.124 0.879
Mn4 0.998 0.749 0.253
Co1 0.492 0.378 0.622
Co2 0.498 0.880 0.119
O1 0.246 0.632 0.145
O2 0.246 0.977 0.246
O3 0.247 0.744 0.479
O4 0.251 0.480 0.744
O5 0.252 0.244 0.976
O6 0.258 0.142 0.643
O7 0.267 0.387 0.371
O8 0.277 0.890 0.875
O9 0.711 0.616 0.610
O10 0.719 0.124 0.110
O11 0.744 0.522 0.257
O12 0.751 0.857 0.371
O13 0.752 0.023 0.757
O14 0.753 0.259 0.525
O15 0.753 0.755 0.026
O16 0.757 0.358 0.872
```

=====

Record 4
Calculated XRD peak list
Compound: Li4MnCo3O8
Radiation: Cu Kα (λ = 1.5418 Å)
Structure: DFT lattice parameters and positions (PBE+U)

The 10 most intense peaks (10 to 90 degrees two-theta), low angle first:
| 2θ/deg | I/Imax | h k l |
| --- | --- | --- |
| 18.2 | 100 | 0 1 0 |
| 34.4 | 19 | 1 0 -2 |
| 35.9 | 13 | 1 0 2 |
| 36.6 | 12 | 2 -1 0 |
| 36.9 | 10 | 0 2 0 |
| 41.5 | 30 | 1 1 -2 |
| 43.6 | 25 | 1 1 2 |
| 44.6 | 23 | 2 -2 0 |
| 61.5 | 7 | 0 0 4 |
| 61.9 | 7 | 2 2 0 |

```
data_Li4MnCo3O8
_chemical_formula_sum 'Li4 Mn1 Co3 O8'
_cell_length_a 5.015
_cell_length_b 5.095
_cell_length_c 6.040
_cell_angle_alpha 91.18
_cell_angle_beta 92.04
_cell_angle_gamma 107.18
_symmetry_space_group_name_H-M 'P -1'
_symmetry_Int_Tables_number 2
loop_
_symmetry_equiv_pos_as_xyz
'x,y,z'
'-x,-y,-z'
loop_
_atom_site_label
_atom_site_fract_x
_atom_site_fract_y
_atom_site_fract_z
Li1 0.000 0.000 0.000
Li2 0.000 0.000 0.500
Li3 0.500 0.000 0.248
Mn1 0.500 0.500 0.500
Co1 0.001 0.500 0.753
Co2 0.500 0.500 0.000
O1 0.247 0.727 0.506
O2 0.249 0.270 0.266
O3 0.249 0.270 0.775
O4 0.251 0.722 0.006
```

=====

Record 5
Calculated XRD peak list
Compound: Li4MnCo2O7
Radiation: Cu Kα (λ = 1.5418 Å)
Structure: DFT lattice parameters and positions (PBE+U)

The 10 most intense peaks (10 to 90 degrees two-theta), low angle first:
| 2θ/deg | I/Imax | h k l |
| --- | --- | --- |
| 18.3 | 100 | 1 -1 0 |
| 35.8 | 14 | 1 1 1 |
| 36.1 | 26 | 1 0 -3 |
| 37.6 | 11 | 2 1 -2 |
| 43.3 | 29 | 2 0 1 |
| 43.6 | 28 | -2 1 3 |
| 43.9 | 27 | 0 3 -2 |
| 47.8 | 8 | 1 -2 3 |
| 62.8 | 8 | -4 1 2 |
| 63.6 | 15 | 2 3 -1 |

```
data_Li4MnCo2O7
_chemical_formula_sum 'Li8 Mn2 Co4 O14'
_cell_length_a 5.923
_cell_length_b 6.547
_cell_length_c 7.712
_cell_angle_alpha 104.32
_cell_angle_beta 111.83
_cell_angle_gamma 103.63
_symmetry_space_group_name_H-M 'P 1'
_symmetry_Int_Tables_number 1
loop_
_symmetry_equiv_pos_as_xyz
'x,y,z'
loop_
_atom_site_label
_atom_site_fract_x
_atom_site_fract_y
_atom_site_fract_z
Li1 0.000 0.000 0.000
Li2 0.071 0.572 0.863
Li3 0.230 0.719 0.571
Li4 0.352 0.856 0.274
Li5 0.496 0.987 0.990
Li6 0.657 0.140 0.721
Li7 0.798 0.282 0.431
Li8 0.926 0.417 0.139
Mn1 0.297 0.277 0.429
Mn2 0.425 0.424 0.140
Co1 0.151 0.136 0.720
Co2 0.588 0.583 0.867
Co3 0.732 0.724 0.585
Co4 0.862 0.856 0.283
O1 0.068 0.289 0.936
O2 0.099 0.853 0.766
O3 0.210 0.411 0.641
O4 0.272 0.018 0.502
O5 0.337 0.549 0.355
O6 0.402 0.167 0.225
O7 0.456 0.693 0.069
O8 0.524 0.289 0.941
O9 0.610 0.842 0.775
O10 0.668 0.430 0.638
O11 0.782 0.989 0.496
O12 0.797 0.578 0.340
O13 0.933 0.136 0.239
O14 0.938 0.710 0.072
```

=====

Record 6
Calculated XRD peak list
Compound: Li7Mn2Co3O12
Radiation: Cu Kα (λ = 1.5418 Å)
Structure: DFT lattice parameters and positions (PBE+U)

The 10 most intense peaks (10 to 90 degrees two-theta), low angle first:
| 2θ/deg | I/Imax | h k l |
| --- | --- | --- |
| 18.3 | 100 | 0 1 1 |
| 35.8 | 13 | 1 -1 2 |
| 36.0 | 13 | 2 0 0 |
| 36.4 | 13 | 1 2 -1 |
| 43.1 | 30 | 1 0 3 |
| 43.6 | 29 | -2 1 1 |
| 44.1 | 28 | 1 3 0 |
| 62.9 | 15 | -1 1 4 |
| 63.2 | 8 | 3 -1 2 |
| 64.1 | 8 | 3 2 -1 |

```
data_Li7Mn2Co3O12
_chemical_formula_sum 'Li7 Mn2 Co3 O12'
_cell_length_a 5.073
_cell_length_b 6.520
_cell_length_c 6.632
_cell_angle_alpha 83.31
_cell_angle_beta 81.93
_cell_angle_gamma 82.91
_symmetry_space_group_name_H-M 'P -1'
_symmetry_Int_Tables_number 2
loop_
_symmetry_equiv_pos_as_xyz
'x,y,z'
'-x,-y,-z'
loop_
_atom_site_label
_atom_site_fract_x
_atom_site_fract_y
_atom_site_fract_z
Li1 0.000 0.000 0.000
Li2 0.240 0.249 0.240
Li3 0.245 0.586 0.919
Li4 0.246 0.916 0.584
Mn1 0.499 0.165 0.838
Co1 0.002 0.325 0.675
Co2 0.500 0.500 0.500
O1 0.133 0.608 0.616
O2 0.141 0.936 0.288
O3 0.149 0.286 0.943
O4 0.379 0.558 0.213
O5 0.382 0.207 0.566
O6 0.394 0.887 0.889
```

=====

Record 7
Calculated XRD peak list
Compound: Li4MnCo2O7
Radiation: Cu Kα (λ = 1.5418 Å)
Structure: DFT lattice parameters and positions (PBE+U)

The 10 most intense peaks (10 to 90 degrees two-theta), low angle first:
| 2θ/deg | I/Imax | h k l |
| --- | --- | --- |
| 18.4 | 100 | 0 1 2 |
| 34.6 | 18 | 1 1 -1 |
| 36.8 | 23 | 1 -1 2 |
| 37.3 | 8 | 0 2 4 |
| 41.4 | 34 | 1 2 1 |
| 44.7 | 26 | 1 -2 0 |
| 44.9 | 25 | 0 0 7 |
| 62.4 | 8 | 0 4 1 |
| 62.7 | 16 | 2 0 1 |
| 62.8 | 8 | 1 2 8 |

```
data_Li4MnCo2O7
_chemical_formula_sum 'Li8 Mn2 Co4 O14'
_cell_length_a 2.971
_cell_length_b 5.965
_cell_length_c 14.302
_cell_angle_alpha 82.93
_cell_angle_beta 84.53
_cell_angle_gamma 85.91
_symmetry_space_group_name_H-M 'P 1'
_symmetry_Int_Tables_number 1
loop_
_symmetry_equiv_pos_as_xyz
'x,y,z'
loop_
_atom_site_label
_atom_site_fract_x
_atom_site_fract_y
_atom_site_fract_z
Li1 0.000 0.000 0.000
Li2 0.011 0.518 0.999
Li3 0.146 0.079 0.719
Li4 0.292 0.651 0.433
Li5 0.439 0.219 0.142
Li6 0.573 0.798 0.867
Li7 0.718 0.366 0.578
Li8 0.860 0.933 0.290
Mn1 0.291 0.150 0.433
Mn2 0.440 0.729 0.141
Co1 0.149 0.579 0.720
Co2 0.570 0.283 0.867
Co3 0.717 0.861 0.577
Co4 0.873 0.440 0.290
O1 0.048 0.064 0.860
O2 0.104 0.532 0.854
O3 0.189 0.622 0.583
O4 0.247 0.104 0.572
O5 0.335 0.199 0.292
O6 0.397 0.674 0.284
O7 0.495 0.752 0.014
O8 0.514 0.265 0.990
O9 0.617 0.340 0.729
O10 0.677 0.817 0.712
O11 0.758 0.903 0.439
O12 0.822 0.397 0.426
O13 0.911 0.942 0.147
O14 0.955 0.498 0.152
```

=====

Record 8
Calculated XRD peak list
Compound: Li3MnCoO5
Radiation: Cu Kα (λ = 1.5418 Å)
Structure: DFT lattice parameters and positions (PBE+U)

The 10 most intense peaks (10 to 90 degrees two-theta), low angle first:
| 2θ/deg | I/Imax | h k l |
| --- | --- | --- |
| 15.2 | 8 | 0 0 1 |
| 18.3 | 100 | 2 0 1 |
| 35.5 | 13 | 8 0 -1 |
| 36.3 | 24 | 3 1 -1 |
| 43.0 | 28 | 10 0 0 |
| 43.9 | 58 | 1 1 -2 |
| 47.7 | 8 | 7 1 1 |
| 57.7 | 10 | 1 1 3 |
| 63.0 | 22 | 2 0 -4 |
| 63.2 | 14 | 11 1 -2 |

```
data_Li3MnCoO5
_chemical_formula_sum 'Li12 Mn4 Co4 O20'
_cell_length_a 21.215
_cell_length_b 2.887
_cell_length_c 5.900
_cell_angle_alpha 90.00
_cell_angle_beta 97.79
_cell_angle_gamma 90.00
_symmetry_space_group_name_H-M 'C 1 m 1'
_symmetry_Int_Tables_number 8
loop_
_symmetry_equiv_pos_as_xyz
'x,y,z'
'x,-y,z'
'x+1/2,y+1/2,z'
'x+1/2,-y+1/2,z'
loop_
_atom_site_label
_atom_site_fract_x
_atom_site_fract_y
_atom_site_fract_z
Li1 0.000 0.000 0.000
Li2 0.001 0.000 0.509
Li3 0.093 0.500 0.794
Li4 0.198 0.000 0.603
Li5 0.302 0.500 0.409
Li6 0.409 0.000 0.213
Mn1 0.198 0.000 0.104
Mn2 0.405 0.000 0.705
Co1 0.089 0.500 0.312
Co2 0.301 0.500 0.905
O1 0.005 0.500 0.253
O2 0.102 0.000 0.537
O3 0.107 0.000 0.078
O4 0.198 0.500 0.882
O5 0.201 0.500 0.326
O6 0.293 0.000 0.132
O7 0.305 0.000 0.678
O8 0.398 0.500 0.480
O9 0.400 0.500 0.930
O10 0.492 0.000 0.749
```

=====

Record 9
Calculated XRD peak list
Compound: Li6Mn3CoO10
Radiation: Cu Kα (λ = 1.5418 Å)
Structure: DFT lattice parameters and positions (PBE+U)

The 10 most intense peaks (10 to 90 degrees two-theta), low angle first:
| 2θ/deg | I/Imax | h k l |
| --- | --- | --- |
| 14.6 | 9 | 4 0 0 |
| 18.4 | 100 | 2 0 -1 |
| 35.0 | 15 | 8 0 1 |
| 36.4 | 23 | 5 1 0 |
| 42.3 | 32 | 6 0 2 |
| 44.2 | 58 | 7 1 -1 |
| 58.2 | 10 | 9 1 -2 |
| 62.7 | 16 | 13 1 1 |
| 63.0 | 16 | 1 1 -3 |
| 64.9 | 8 | 0 2 0 |

```
data_Li6Mn3CoO10
_chemical_formula_sum 'Li12 Mn6 Co2 O20'
_cell_length_a 24.207
_cell_length_b 2.875
_cell_length_c 5.161
_cell_angle_alpha 90.00
_cell_angle_beta 92.25
_cell_angle_gamma 90.00
_symmetry_space_group_name_H-M 'C 1 m 1'
_symmetry_Int_Tables_number 8
loop_
_symmetry_equiv_pos_as_xyz
'x,y,z'
'x,-y,z'
'x+1/2,y+1/2,z'
'x+1/2,-y+1/2,z'
loop_
_atom_site_label
_atom_site_fract_x
_atom_site_fract_y
_atom_site_fract_z
Li1 0.000 0.000 0.000
Li2 0.001 0.500 0.502
Li3 0.097 0.500 0.207
Li4 0.199 0.000 0.394
Li5 0.300 0.500 0.602
Li6 0.404 0.000 0.798
Mn1 0.097 0.000 0.685
Mn2 0.299 0.000 0.105
Mn3 0.404 0.500 0.323
Co1 0.199 0.500 0.886
O1 0.055 0.000 0.384
O2 0.056 0.500 0.843
O3 0.145 0.500 0.560
O4 0.154 0.000 0.010
O5 0.243 0.000 0.754
O6 0.253 0.500 0.238
O7 0.348 0.500 0.986
O8 0.356 0.000 0.449
O9 0.445 0.000 0.165
O10 0.446 0.500 0.622
```